The following is a simulated XRD peak list of Hf3B2Ir5. It was derived from a GGA-PBE-relaxed structure, using Cu Kα (weighted mean of Kα1 and Kα2).

Principal peaks in the range 2θ from 10° to 90°, by angle:
| index | 2theta | I (rel.) |
| --- | --- | --- |
| 2 1 1 | 34.12 | 75 |
| 2 2 1 | 38.14 | 36 |
| 4 1 0 | 40.05 | 65 |
| 3 1 1 | 40.63 | 100 |
| 4 2 0 | 43.60 | 39 |
| 3 2 1 | 44.15 | 33 |
| 0 0 2 | 54.04 | 25 |
| 4 1 2 | 69.34 | 26 |
| 4 2 2 | 71.88 | 26 |
| 7 1 1 | 78.05 | 22 |

Structural model:
a = 9.283 Å, b = 9.283 Å, c = 3.394 Å
α = 90.00°, β = 90.00°, γ = 90.00°
Space group P4/mbm (No. 127)
One atom of each set of equivalent atoms:
Hf (0.000, 0.000, 0.000) (multiplicity 2)
Hf (0.176, 0.324, 0.000) (multiplicity 4)
B (0.119, 0.619, 0.000) (multiplicity 4)
Ir (0.000, 0.500, 0.500) (multiplicity 2)
Ir (0.073, 0.780, 0.500) (multiplicity 8)

---

The following is a simulated XRD peak list of K2YAgF6. It was derived from a GGA-PBE-relaxed structure, using Cu Kα (weighted mean of Kα1 and Kα2).

Principal peaks in the range 2θ from 10° to 90°, by angle:
| index | 2theta | I (rel.) |
| --- | --- | --- |
| 2 0 0 | 19.24 | 51 |
| 2 2 0 | 27.34 | 100 |
| 4 0 0 | 39.06 | 49 |
| 4 2 0 | 43.89 | 23 |
| 4 2 2 | 48.33 | 39 |
| 4 4 0 | 56.42 | 29 |
| 6 0 0 | 60.18 | 11 |
| 6 2 0 | 63.81 | 17 |
| 4 4 4 | 70.75 | 9 |
| 6 4 2 | 77.41 | 19 |

Structural model:
a = 9.225 Å, b = 9.225 Å, c = 9.225 Å
α = 90.00°, β = 90.00°, γ = 90.00°
Space group Fm-3m (No. 225)
One atom of each set of equivalent atoms:
K (0.250, 0.250, 0.250) (multiplicity 8)
Y (0.000, 0.000, 0.000) (multiplicity 4)
Ag (0.000, 0.000, 0.500) (multiplicity 4)
F (0.000, 0.000, 0.236) (multiplicity 24)

---

The following is a simulated XRD peak list of BaYMgCuAgO5. It was derived from a GGA-PBE-relaxed structure, using Cu Kα (weighted mean of Kα1 and Kα2).

Principal peaks in the range 2θ from 10° to 90°, by angle:
| index | 2theta | I (rel.) |
| --- | --- | --- |
| 0 1 1 | 22.18 | 61 |
| 1 0 1 | 25.35 | 36 |
| 1 1 0 | 31.63 | 82 |
| 0 1 3 | 32.96 | 100 |
| 1 0 3 | 35.24 | 97 |
| 1 1 2 | 36.10 | 40 |
| 0 2 0 | 41.62 | 46 |
| 2 0 0 | 48.84 | 28 |
| 1 2 3 | 55.65 | 49 |
| 2 1 3 | 60.18 | 33 |

Structural model:
a = 3.730 Å, b = 4.340 Å, c = 10.458 Å
α = 90.00°, β = 90.00°, γ = 90.00°
Space group Pmm2 (No. 25)
One atom of each set of equivalent atoms:
Ba (0.000, 0.000, 0.000) (multiplicity 1)
Y (0.000, 0.000, 0.663) (multiplicity 1)
Mg (0.000, 0.500, 0.249) (multiplicity 1)
Cu (0.500, 0.500, 0.793) (multiplicity 1)
Ag (0.500, 0.500, 0.518) (multiplicity 1)
O (0.000, 0.500, 0.426) (multiplicity 1)
O (0.000, 0.500, 0.767) (multiplicity 1)
O (0.500, 0.000, 0.555) (multiplicity 1)
O (0.500, 0.000, 0.835) (multiplicity 1)
O (0.500, 0.500, 0.151) (multiplicity 1)

---

The following is a simulated XRD peak list of Li2InAg. It was derived from a GGA-PBE-relaxed structure, using Cu Kα (weighted mean of Kα1 and Kα2).

Principal peaks in the range 2θ from 10° to 90°, by angle:
| index | 2theta | I (rel.) |
| --- | --- | --- |
| 1 1 1 | 23.31 | 100 |
| 2 2 0 | 38.52 | 96 |
| 3 1 1 | 45.51 | 49 |
| 4 0 0 | 55.61 | 16 |
| 3 3 1 | 61.11 | 20 |
| 4 2 2 | 69.69 | 31 |
| 5 1 1 | 74.60 | 14 |
| 4 4 0 | 82.56 | 10 |
| 5 3 1 | 87.25 | 15 |

Structural model:
a = 6.610 Å, b = 6.610 Å, c = 6.610 Å
α = 90.00°, β = 90.00°, γ = 90.00°
Space group F-43m (No. 216)
One atom of each set of equivalent atoms:
Li (0.000, 0.000, 0.000) (multiplicity 4)
Li (0.250, 0.250, 0.250) (multiplicity 4)
In (0.000, 0.000, 0.500) (multiplicity 4)
Ag (0.250, 0.250, 0.750) (multiplicity 4)

---

The following is a simulated XRD peak list of MgSO4. It was derived from a GGA-PBE-relaxed structure, using Cu Kα (weighted mean of Kα1 and Kα2).

Principal peaks in the range 2θ from 10° to 90°, by angle:
| index | 2theta | I (rel.) |
| --- | --- | --- |
| 2 1 0 | 24.34 | 42 |
| 1 1 1 | 24.87 | 100 |
| 2 2 0 | 33.51 | 25 |
| 1 2 1 | 33.90 | 8 |
| 3 0 1 | 36.22 | 22 |
| 2 2 1 | 38.49 | 15 |
| 1 0 2 | 38.78 | 9 |
| 2 2 2 | 51.01 | 13 |
| 0 4 0 | 54.00 | 8 |
| 5 2 1 | 63.18 | 10 |

Structural model:
a = 8.678 Å, b = 6.793 Å, c = 4.820 Å
α = 90.00°, β = 90.00°, γ = 90.00°
Space group Pnma (No. 62)
One atom of each set of equivalent atoms:
Mg (0.000, 0.000, 0.000) (multiplicity 4)
S (0.178, 0.250, 0.474) (multiplicity 4)
O (0.123, 0.250, 0.768) (multiplicity 4)
O (0.125, 0.070, 0.334) (multiplicity 8)
O (0.148, 0.750, 0.963) (multiplicity 4)

---

The following is a simulated XRD peak list of PmEuPd2. It was derived from a GGA-PBE-relaxed structure, using Cu Kα (weighted mean of Kα1 and Kα2).

Principal peaks in the range 2θ from 10° to 90°, by angle:
| index | 2theta | I (rel.) |
| --- | --- | --- |
| 2 0 0 | 24.55 | 3 |
| 2 2 0 | 34.99 | 100 |
| 2 2 2 | 43.21 | 1 |
| 4 0 0 | 50.32 | 18 |
| 4 2 0 | 56.76 | 1 |
| 4 2 2 | 62.76 | 36 |
| 4 4 0 | 73.92 | 11 |
| 6 0 0 | 79.25 | 1 |
| 6 2 0 | 84.48 | 16 |

Structural model:
a = 7.253 Å, b = 7.253 Å, c = 7.253 Å
α = 90.00°, β = 90.00°, γ = 90.00°
Space group Fm-3m (No. 225)
One atom of each set of equivalent atoms:
Pm (0.000, 0.000, 0.000) (multiplicity 4)
Eu (0.000, 0.000, 0.500) (multiplicity 4)
Pd (0.250, 0.250, 0.250) (multiplicity 8)

---

The following is a simulated XRD peak list of Li2GdTl. It was derived from a GGA-PBE-relaxed structure, using Cu Kα (weighted mean of Kα1 and Kα2).

Principal peaks in the range 2θ from 10° to 90°, by angle:
| index | 2theta | I (rel.) |
| --- | --- | --- |
| 1 1 1 | 22.12 | 3 |
| 2 0 0 | 25.60 | 100 |
| 2 2 0 | 36.52 | 90 |
| 2 2 2 | 45.13 | 30 |
| 4 0 0 | 52.60 | 16 |
| 4 2 0 | 59.39 | 40 |
| 4 2 2 | 65.73 | 33 |
| 4 4 0 | 77.60 | 10 |
| 6 0 0 | 83.31 | 19 |
| 6 2 0 | 88.95 | 15 |

Structural model:
a = 6.960 Å, b = 6.960 Å, c = 6.960 Å
α = 90.00°, β = 90.00°, γ = 90.00°
Space group Fm-3m (No. 225)
One atom of each set of equivalent atoms:
Li (0.250, 0.250, 0.250) (multiplicity 8)
Gd (0.000, 0.000, 0.000) (multiplicity 4)
Tl (0.000, 0.000, 0.500) (multiplicity 4)